Record 1
Simulated X-ray diffraction stick pattern of Ce2TlCl11 for Cu Kα (weighted mean of Kα1 and Kα2), from the PBE geometry in Alexandria.

```
data_Ce2TlCl11
_chemical_formula_sum 'Ce8 Tl4 Cl44'
_cell_length_a 10.6685
_cell_length_b 12.8156
_cell_length_c 13.8940
_cell_angle_alpha 90.00
_cell_angle_beta 90.00
_cell_angle_gamma 90.00
_space_group_name_H-M_alt 'I b a m'
_space_group_IT_number 72
_space_group_name_Hall '-I 2 2c'
loop_
_atom_site_label
_atom_site_type_symbol
_atom_site_fract_x
_atom_site_fract_y
_atom_site_fract_z
Ce1 Ce 0.1475 0.1992 0.0000
Tl1 Tl 0.0000 0.5000 0.2500
Cl1 Cl 0.0000 0.0000 0.0000
Cl2 Cl 0.1027 0.3390 0.1363
Cl3 Cl 0.1152 0.1958 0.5000
Cl4 Cl 0.2467 0.4059 0.3661
```

Main lines, most intense first (2θ = 10–90°):
d 5.300, I = 100, hkl 1 1 2; d 4.710, I = 73, hkl 0 2 2; d 4.642, I = 50, hkl 2 1 1; d 2.543, I = 37, hkl 3 3 2; d 2.613, I = 35, hkl 1 3 4; d 8.199, I = 30, hkl 1 1 0; d 2.346, I = 26, hkl 1 5 2; d 2.462, I = 24, hkl 4 2 0; d 2.650, I = 23, hkl 2 2 4; d 2.557, I = 21, hkl 1 4 3

***

Record 2
Simulated X-ray diffraction stick pattern of SrLaNdCu2O6 for Cu Kα (weighted mean of Kα1 and Kα2), from the PBE geometry in Alexandria.

```
data_SrLaNdCu2O6
_chemical_formula_sum 'Sr2 La2 Nd2 Cu4 O12'
_cell_length_a 3.8672
_cell_length_b 3.8672
_cell_length_c 19.9716
_cell_angle_alpha 90.00
_cell_angle_beta 90.00
_cell_angle_gamma 90.00
_space_group_name_H-M_alt 'I 4 m m'
_space_group_IT_number 107
_space_group_name_Hall 'I 4 -2'
loop_
_atom_site_label
_atom_site_type_symbol
_atom_site_fract_x
_atom_site_fract_y
_atom_site_fract_z
Sr1 Sr 0.0000 0.0000 0.0000
La1 La 0.0000 0.0000 0.6387
Nd1 Nd 0.0000 0.0000 0.8213
Cu1 Cu 0.0000 0.0000 0.2323
Cu2 Cu 0.0000 0.0000 0.4101
O1 O 0.0000 0.0000 0.1219
O2 O 0.0000 0.0000 0.5277
O3 O 0.0000 0.5000 0.2407
O4 O 0.0000 0.5000 0.3972
```

Main lines, most intense first (2θ = 10–90°):
d 2.778, I = 100, hkl 1 0 5; d 2.735, I = 59, hkl 1 1 0; d 1.587, I = 37, hkl 2 1 5; d 1.934, I = 34, hkl 2 0 0; d 2.296, I = 20, hkl 1 0 7; d 2.113, I = 18, hkl 1 1 6; d 3.797, I = 17, hkl 1 0 1; d 1.613, I = 13, hkl 1 1 10; d 1.367, I = 10, hkl 2 2 0; d 1.223, I = 10, hkl 3 1 0

***

Record 3
Simulated X-ray diffraction stick pattern of GaCuHg2Te4 for Cu Kα (weighted mean of Kα1 and Kα2), from the PBE geometry in Alexandria.

```
data_GaCuHg2Te4
_chemical_formula_sum 'Ga2 Cu2 Hg4 Te8'
_cell_length_a 6.4043
_cell_length_b 6.4043
_cell_length_c 12.5947
_cell_angle_alpha 90.00
_cell_angle_beta 90.00
_cell_angle_gamma 90.00
_space_group_name_H-M_alt 'I -4'
_space_group_IT_number 82
loop_
_space_group_symop_operation_xyz
'x,y,z'
'y,-x,-z'
'-x,-y,z'
'-y,x,-z'
'x+1/2,y+1/2,z+1/2'
'y+1/2,-x+1/2,-z+1/2'
'-x+1/2,-y+1/2,z+1/2'
'-y+1/2,x+1/2,-z+1/2'
loop_
_atom_site_label
_atom_site_type_symbol
_atom_site_fract_x
_atom_site_fract_y
_atom_site_fract_z
Ga1 Ga 0.0000 0.0000 0.0000
Cu1 Cu 0.0000 0.5000 0.2500
Hg1 Hg 0.0000 0.0000 0.5000
Hg2 Hg 0.0000 0.5000 0.7500
Te1 Te 0.2173 0.7447 0.1287
```

Main lines, most intense first (2θ = 10–90°):
d 3.677, I = 100, hkl 1 1 2; d 2.245, I = 52, hkl 2 0 4; d 1.928, I = 31, hkl 1 3 2; d 2.264, I = 26, hkl 2 2 0; d 1.904, I = 16, hkl 1 1 6; d 1.304, I = 15, hkl 4 2 4; d 1.457, I = 15, hkl 3 1 6; d 2.793, I = 12, hkl 1 2 1; d 3.511, I = 9, hkl 1 0 3; d 1.293, I = 8, hkl 2 2 8

***

Record 4
Simulated X-ray diffraction stick pattern of Y3Ga3Ru2 for Cu Kα (weighted mean of Kα1 and Kα2), from the PBE geometry in Alexandria.

```
data_Y3Ga3Ru2
_chemical_formula_sum 'Y12 Ga12 Ru8'
_cell_length_a 7.6048
_cell_length_b 15.2536
_cell_length_c 5.7636
_cell_angle_alpha 90.00
_cell_angle_beta 90.00
_cell_angle_gamma 90.00
_space_group_name_H-M_alt 'P n m a'
_space_group_IT_number 62
loop_
_space_group_symop_operation_xyz
'x,y,z'
'-x,-y,-z'
'-x+1/2,-y,z+1/2'
'x+1/2,y,-z+1/2'
'x+1/2,-y+1/2,-z+1/2'
'-x+1/2,y+1/2,z+1/2'
'-x,y+1/2,-z'
'x,-y+1/2,z'
loop_
_atom_site_label
_atom_site_type_symbol
_atom_site_fract_x
_atom_site_fract_y
_atom_site_fract_z
Y1 Y 0.0370 0.1081 0.1118
Y2 Y 0.1714 0.2500 0.6309
Ga1 Ga 0.1681 0.0361 0.5942
Ga2 Ga 0.1726 0.7500 0.6217
Ru1 Ru 0.1288 0.6079 0.3729
```

Main lines, most intense first (2θ = 10–90°):
d 2.381, I = 100, hkl 1 3 2; d 2.440, I = 99, hkl 2 4 1; d 2.693, I = 88, hkl 2 4 0; d 2.320, I = 84, hkl 3 0 1; d 2.201, I = 71, hkl 1 4 2; d 2.542, I = 60, hkl 0 6 0; d 2.654, I = 60, hkl 1 1 2; d 2.933, I = 34, hkl 1 4 1; d 1.268, I = 31, hkl 5 4 2; d 1.564, I = 30, hkl 2 4 3

***

Record 5
Simulated X-ray diffraction stick pattern of Pm2Al3Cd for Cu Kα (weighted mean of Kα1 and Kα2), from the PBE geometry in Alexandria.

```
data_Pm2Al3Cd
_chemical_formula_sum 'Pm16 Al24 Cd8'
_cell_length_a 7.4715
_cell_length_b 9.3551
_cell_length_c 16.1326
_cell_angle_alpha 90.00
_cell_angle_beta 90.00
_cell_angle_gamma 90.00
_space_group_name_H-M_alt 'F m m m'
_space_group_IT_number 69
_space_group_name_Hall '-F 2 2'
loop_
_atom_site_label
_atom_site_type_symbol
_atom_site_fract_x
_atom_site_fract_y
_atom_site_fract_z
Pm1 Pm 0.2491 0.0000 0.0000
Pm2 Pm 0.2500 0.2500 0.2500
Al1 Al 0.0000 0.0000 0.3362
Al2 Al 0.0000 0.2455 0.4180
Cd1 Cd 0.0000 0.0000 0.1668
```

Main lines, most intense first (2θ = 10–90°):
d 2.743, I = 100, hkl 2 2 2; d 4.042, I = 33, hkl 0 0 4; d 2.331, I = 33, hkl 0 2 6; d 1.458, I = 22, hkl 4 4 0; d 1.779, I = 18, hkl 2 4 4; d 1.413, I = 17, hkl 2 4 8; d 2.339, I = 17, hkl 0 4 0; d 1.775, I = 9, hkl 2 0 8; d 1.417, I = 9, hkl 2 6 2; d 1.868, I = 8, hkl 4 0 0

***

Record 6
Simulated X-ray diffraction stick pattern of K2CdSnS4 for Cu Kα (weighted mean of Kα1 and Kα2), from the PBE geometry in Alexandria.

```
data_K2CdSnS4
_chemical_formula_sum 'K16 Cd8 Sn8 S32'
_cell_length_a 11.2264
_cell_length_b 11.1050
_cell_length_c 15.1450
_cell_angle_alpha 90.00
_cell_angle_beta 97.01
_cell_angle_gamma 90.00
_space_group_name_H-M_alt 'C 1 2/c 1'
_space_group_IT_number 15
loop_
_space_group_symop_operation_xyz
'x,y,z'
'-x,-y,-z'
'-x,y,-z+1/2'
'x,-y,z+1/2'
'x+1/2,y+1/2,z'
'-x+1/2,-y+1/2,-z'
'-x+1/2,y+1/2,-z+1/2'
'x+1/2,-y+1/2,z+1/2'
loop_
_atom_site_label
_atom_site_type_symbol
_atom_site_fract_x
_atom_site_fract_y
_atom_site_fract_z
K1 K 0.0188 0.1670 0.3837
K2 K 0.2244 0.4101 0.1213
Cd1 Cd 0.1368 0.4595 0.8378
Sn1 Sn 0.0992 0.2023 0.6451
S1 S 0.0000 0.0736 0.7500
S2 S 0.0000 0.3971 0.2500
S3 S 0.0621 0.3025 0.9450
S4 S 0.1815 0.0481 0.5586
S5 S 0.2470 0.3276 0.7270
```

Main lines, most intense first (2θ = 10–90°):
d 3.615, I = 100, hkl 2 2 -2; d 2.842, I = 100, hkl 2 2 -4; d 3.518, I = 93, hkl 1 3 0; d 6.735, I = 91, hkl 1 1 1; d 2.972, I = 90, hkl 2 2 3; d 5.684, I = 85, hkl 1 1 -2; d 1.972, I = 70, hkl 4 4 -1; d 3.056, I = 68, hkl 3 1 2; d 7.516, I = 61, hkl 0 0 2; d 2.734, I = 60, hkl 3 1 -4